Structure and theoretical PXRD pattern of MoP4Au (a cell relaxed with PBE; Cu Kα X-rays).
Neutral-atom scattering factors, no anomalous dispersion.

Cell and atoms:
a = 5.0321 Å, b = 5.0321 Å, c = 5.0321 Å
α = 60.00°, β = 60.00°, γ = 60.00°
Element x y z (fractional)
Mo1 0.0000 0.0000 0.0000
P1 0.1207 0.6264 0.6264
P2 0.6264 0.1207 0.6264
P3 0.6264 0.6264 0.1207
P4 0.6264 0.6264 0.6264
Au1 0.2500 0.2500 0.2500

Most intense lines, 2θ from 10° to 90°, low angle first:
2theta  Rel. int.
21.6  597
25.0  126
35.7  898
42.1  1000
56.4  158
64.1  326
68.5  315
75.6  198
79.7  116
86.5  151


Structure and theoretical PXRD pattern of MoPb2Au (a cell relaxed with PBE; Cu Kα X-rays).
Neutral-atom scattering factors, no anomalous dispersion.

Cell and atoms:
a = 4.4401 Å, b = 4.4557 Å, c = 8.8208 Å
α = 90.00°, β = 90.00°, γ = 90.00°
Element x y z (fractional)
Mo1 0.0000 0.0000 0.0000
Mo2 0.5000 0.5000 0.5000
Pb1 0.0000 0.5000 0.2500
Pb2 0.0000 0.5000 0.7500
Pb3 0.5000 0.0000 0.2500
Pb4 0.5000 0.0000 0.7500
Au1 0.0000 0.0000 0.5000
Au2 0.5000 0.5000 0.0000

Most intense lines, 2θ from 10° to 90°, low angle first:
2theta  Rel. int.
35.0  1000
40.5  169
40.6  167
40.9  164
58.7  115
58.9  114
70.1  137
70.3  136
70.7  134
74.0  118


Structure and theoretical PXRD pattern of MoPb4Au (a cell relaxed with PBE; Cu Kα X-rays).
Neutral-atom scattering factors, no anomalous dispersion.

Cell and atoms:
a = 6.2808 Å, b = 6.2808 Å, c = 6.2808 Å
α = 60.00°, β = 60.00°, γ = 60.00°
Element x y z (fractional)
Mo1 0.0000 0.0000 0.0000
Pb1 0.1237 0.6254 0.6254
Pb2 0.6254 0.1237 0.6254
Pb3 0.6254 0.6254 0.1237
Pb4 0.6254 0.6254 0.6254
Au1 0.2500 0.2500 0.2500

Most intense lines, 2θ from 10° to 90°, low angle first:
2theta  Rel. int.
17.3  179
28.4  173
33.5  1000
35.0  520
40.6  105
53.6  357
58.8  326
69.4  126
70.3  216
83.6  236


Structure and theoretical PXRD pattern of Mo2RuAu (a cell relaxed with PBE; Cu Kα X-rays).
Neutral-atom scattering factors, no anomalous dispersion.

Cell and atoms:
a = 2.8183 Å, b = 3.9520 Å, c = 5.7225 Å
α = 90.00°, β = 90.00°, γ = 90.00°
Element x y z (fractional)
Mo1 0.0000 0.0000 0.0000
Mo2 0.5000 0.5000 0.2500
Ru1 0.0000 0.0000 0.4500
Au1 0.5000 0.5000 0.7337

Most intense lines, 2θ from 10° to 90°, low angle first:
2theta  Rel. int.
27.4  179
38.9  976
39.3  1000
45.2  633
45.9  318
66.4  502
78.8  211
79.6  241
80.2  118
80.5  124


Structure and theoretical PXRD pattern of Mo2RuAu (a cell relaxed with PBE; Cu Kα X-rays).
Neutral-atom scattering factors, no anomalous dispersion.

Cell and atoms:
a = 2.8106 Å, b = 3.9817 Å, c = 5.6237 Å
α = 90.00°, β = 90.00°, γ = 90.00°
Element x y z (fractional)
Mo1 0.0000 0.0000 0.2256
Mo2 0.0000 0.0000 0.7744
Ru1 0.5000 0.5000 0.0000
Au1 0.5000 0.5000 0.5000

Most intense lines, 2θ from 10° to 90°, low angle first:
2theta  Rel. int.
22.3  46
27.4  81
31.8  43
35.7  42
39.2  1000
45.6  482
66.5  303
80.0  236
80.0  123
84.3  106


Structure and theoretical PXRD pattern of MoRuAu (a cell relaxed with PBE; Cu Kα X-rays).
Neutral-atom scattering factors, no anomalous dispersion.

Cell and atoms:
a = 2.8544 Å, b = 3.8601 Å, c = 8.5704 Å
α = 90.00°, β = 90.00°, γ = 90.00°
Element x y z (fractional)
Mo1 0.0000 0.0000 0.0000
Mo2 0.5000 0.5000 0.5000
Ru1 0.0000 0.0000 0.6475
Ru2 0.5000 0.5000 0.1475
Au1 0.0000 0.0000 0.3234
Au2 0.5000 0.5000 0.8234

Most intense lines, 2θ from 10° to 90°, low angle first:
2theta  Rel. int.
25.3  111
33.1  59
39.2  1000
44.9  366
47.1  149
65.4  108
67.1  203
79.0  253
82.2  119
84.4  109


Structure and theoretical PXRD pattern of ScMoAu2 (a cell relaxed with PBE; Cu Kα X-rays).
Neutral-atom scattering factors, no anomalous dispersion.

Cell and atoms:
a = 3.0063 Å, b = 4.0976 Å, c = 5.7822 Å
α = 90.00°, β = 90.00°, γ = 90.00°
Element x y z (fractional)
Sc1 0.0000 0.0000 0.0000
Mo1 0.0000 0.0000 0.5000
Au1 0.5000 0.5000 0.2573
Au2 0.5000 0.5000 0.7427

Most intense lines, 2θ from 10° to 90°, low angle first:
2theta  Rel. int.
21.7  404
29.7  194
37.1  1000
38.1  923
43.4  638
44.2  305
49.0  208
63.7  407
74.9  257
76.8  236


Structure and theoretical PXRD pattern of ScMoAu2 (a cell relaxed with PBE; Cu Kα X-rays).
Neutral-atom scattering factors, no anomalous dispersion.

Cell and atoms:
a = 4.1348 Å, b = 4.1348 Å, c = 8.4717 Å
α = 90.00°, β = 90.00°, γ = 90.00°
Element x y z (fractional)
Sc1 0.0000 0.0000 0.0000
Sc2 0.5000 0.5000 0.5000
Mo1 0.0000 0.5000 0.2500
Mo2 0.5000 0.0000 0.7500
Au1 0.0000 0.0000 0.5000
Au2 0.0000 0.5000 0.7500
Au3 0.5000 0.0000 0.2500
Au4 0.5000 0.5000 0.0000

Most intense lines, 2θ from 10° to 90°, low angle first:
2theta  Rel. int.
23.9  345
37.4  1000
38.6  107
42.7  172
43.8  320
62.8  218
63.7  105
74.6  133
76.2  284
79.7  113


Structure and theoretical PXRD pattern of ScMoAu2 (a cell relaxed with PBE; Cu Kα X-rays).
Neutral-atom scattering factors, no anomalous dispersion.

Cell and atoms:
a = 3.0017 Å, b = 4.6896 Å, c = 5.0379 Å
α = 90.00°, β = 90.00°, γ = 90.00°
Element x y z (fractional)
Sc1 0.0000 0.0000 0.0000
Mo1 0.0000 0.5000 0.3650
Au1 0.5000 0.0000 0.4965
Au2 0.5000 0.5000 0.8512

Most intense lines, 2θ from 10° to 90°, low angle first:
2theta  Rel. int.
26.0  317
29.8  145
34.8  172
35.6  168
38.4  341
39.9  1000
40.7  351
63.5  145
70.4  187
76.7  281


Structure and theoretical PXRD pattern of TeMoAu (a cell relaxed with PBE; Cu Kα X-rays).
Neutral-atom scattering factors, no anomalous dispersion.

Cell and atoms:
a = 3.1543 Å, b = 3.1543 Å, c = 13.2950 Å
α = 90.00°, β = 90.00°, γ = 90.00°
Element x y z (fractional)
Te1 0.0000 0.0000 0.0000
Te2 0.5000 0.5000 0.5000
Mo1 0.0000 0.0000 0.6254
Mo2 0.5000 0.5000 0.1254
Au1 0.0000 0.0000 0.2614
Au2 0.5000 0.5000 0.7614

Most intense lines, 2θ from 10° to 90°, low angle first:
2theta  Rel. int.
13.3  197
26.8  194
29.1  229
34.9  1000
40.4  472
44.6  326
49.2  155
58.5  159
70.0  263
70.7  167


Structure and theoretical PXRD pattern of ZrTi2MoAu (a cell relaxed with PBE; Cu Kα X-rays).
Neutral-atom scattering factors, no anomalous dispersion.

Cell and atoms:
a = 4.7776 Å, b = 4.7776 Å, c = 5.1865 Å
α = 90.00°, β = 90.00°, γ = 90.00°
Element x y z (fractional)
Zr1 0.0000 0.0000 0.0000
Ti1 0.0000 0.5000 0.5000
Ti2 0.5000 0.0000 0.5000
Mo1 0.5000 0.5000 0.0000
Au1 0.0000 0.0000 0.5000

Most intense lines, 2θ from 10° to 90°, low angle first:
2theta  Rel. int.
18.6  913
25.3  972
26.4  932
34.6  633
37.7  1000
44.0  485
45.9  406
52.1  768
54.3  337
66.0  370


Structure and theoretical PXRD pattern of MoW2Au (a cell relaxed with PBE; Cu Kα X-rays).
Neutral-atom scattering factors, no anomalous dispersion.

Cell and atoms:
a = 3.2769 Å, b = 4.3989 Å, c = 9.1332 Å
α = 90.00°, β = 90.00°, γ = 90.00°
Element x y z (fractional)
Mo1 0.0000 0.0000 0.0000
Mo2 0.5000 0.5000 0.0000
W1 0.0000 0.0000 0.4837
W2 0.0000 0.5000 0.2412
W3 0.5000 0.0000 0.2412
W4 0.5000 0.5000 0.4837
Au1 0.0000 0.5000 0.7414
Au2 0.5000 0.0000 0.7414

Most intense lines, 2θ from 10° to 90°, low angle first:
2theta  Rel. int.
39.5  249
39.6  1000
41.0  227
56.1  91
58.2  160
70.8  90
71.6  171
71.8  88
73.8  163
85.2  113


Structure and theoretical PXRD pattern of YMoAu2 (a cell relaxed with PBE; Cu Kα X-rays).
Neutral-atom scattering factors, no anomalous dispersion.

Cell and atoms:
a = 10.0011 Å, b = 3.2148 Å, c = 5.1040 Å
α = 90.00°, β = 105.68°, γ = 90.00°
Element x y z (fractional)
Y1 0.0000 0.0000 0.0000
Y2 0.5000 0.5000 0.0000
Mo1 0.2591 0.5000 0.3256
Mo2 0.7591 0.0000 0.3256
Au1 0.0003 0.5000 0.4869
Au2 0.2412 0.0000 0.7861
Au3 0.5003 0.0000 0.4869
Au4 0.7412 0.5000 0.7861

Most intense lines, 2θ from 10° to 90°, low angle first:
2theta  Rel. int.
18.1  150
22.1  154
29.3  151
36.0  1000
36.3  434
37.4  460
40.4  722
45.8  222
62.0  148
63.4  242


Structure and theoretical PXRD pattern of ZnMo2Au (a cell relaxed with PBE; Cu Kα X-rays).
Neutral-atom scattering factors, no anomalous dispersion.

Cell and atoms:
a = 2.7448 Å, b = 4.3318 Å, c = 5.3185 Å
α = 90.00°, β = 90.00°, γ = 90.00°
Element x y z (fractional)
Zn1 0.0000 0.0000 0.0000
Mo1 0.5000 0.5000 0.2387
Mo2 0.5000 0.5000 0.7613
Au1 0.0000 0.0000 0.5000

Most intense lines, 2θ from 10° to 90°, low angle first:
2theta  Rel. int.
16.7  220
26.5  242
38.8  1000
39.8  927
41.7  408
47.6  549
65.1  424
74.2  147
82.1  226
83.9  210


Structure and theoretical PXRD pattern of ZrMo2Au (a cell relaxed with PBE; Cu Kα X-rays).
Neutral-atom scattering factors, no anomalous dispersion.

Cell and atoms:
a = 3.6438 Å, b = 4.5707 Å, c = 8.5659 Å
α = 90.00°, β = 90.00°, γ = 90.00°
Element x y z (fractional)
Zr1 0.0000 0.0000 0.0000
Zr2 0.5000 0.5000 0.5000
Mo1 0.0000 0.0000 0.4616
Mo2 0.0000 0.5000 0.7494
Mo3 0.5000 0.0000 0.2494
Mo4 0.5000 0.5000 0.9616
Au1 0.0000 0.5000 0.2310
Au2 0.5000 0.0000 0.7310

Most intense lines, 2θ from 10° to 90°, low angle first:
2theta  Rel. int.
37.9  1000
39.4  231
42.2  168
50.1  115
59.1  122
65.5  102
70.5  159
74.3  106
81.1  100
85.8  97


Structure and theoretical PXRD pattern of Zr6MoAu (a cell relaxed with PBE; Cu Kα X-rays).
Neutral-atom scattering factors, no anomalous dispersion.

Cell and atoms:
a = 4.7237 Å, b = 4.7237 Å, c = 15.2287 Å
α = 90.00°, β = 90.00°, γ = 90.00°
Element x y z (fractional)
Zr1 0.0000 0.0000 0.2445
Zr2 0.0000 0.0000 0.7555
Zr3 0.0000 0.5000 0.1127
Zr4 0.0000 0.5000 0.3873
Zr5 0.0000 0.5000 0.6127
Zr6 0.0000 0.5000 0.8873
Zr7 0.5000 0.0000 0.1127
Zr8 0.5000 0.0000 0.3873
Zr9 0.5000 0.0000 0.6127
Zr10 0.5000 0.0000 0.8873
Zr11 0.5000 0.5000 0.2555
Zr12 0.5000 0.5000 0.7445
Mo1 0.0000 0.0000 0.0000
Mo2 0.5000 0.5000 0.5000
Au1 0.0000 0.0000 0.5000
Au2 0.5000 0.5000 0.0000

Most intense lines, 2θ from 10° to 90°, low angle first:
2theta  Rel. int.
11.6  134
35.8  1000
38.1  439
44.9  60
47.8  94
55.0  148
62.7  164
67.3  304
75.8  94
81.1  62